Diffraction record for Ce3PmTm2Se6. The PXRD pattern is calculated, not measured: it uses a crystal structure in Alexandria, relaxed with PBE and Cu Kα (weighted mean of Kα1 and Kα2).

Crystal structure
```
Ce3PmTm2Se6
1.0
3.564 -6.178 0.000
3.564 6.178 0.000
-2.380 0.000 6.844
Ce Pm Tm Se
3 1 2 6
direct
0.000 0.000 0.000
0.338 0.662 0.000
0.662 0.338 0.000
0.500 0.500 0.500
0.167 0.833 0.500
0.833 0.167 0.500
0.077 0.420 0.261
0.235 0.235 0.734
0.420 0.077 0.261
0.580 0.923 0.739
0.765 0.765 0.266
0.923 0.580 0.739
```

The 8 most intense peaks (10° ≤ 2θ ≤ 90°), sorted by position:
26.46 deg, I = 134
30.53 deg, I = 1000
43.44 deg, I = 374
43.99 deg, I = 364
54.49 deg, I = 191
71.73 deg, I = 164
72.52 deg, I = 161
80.50 deg, I = 121